Diffraction record for Na5As2Pd. The PXRD pattern is theoretical, not measured: it uses a DFT-relaxed cell (GGA-PBE, Alexandria) and Cu Kα.
Peak positions follow from Bragg's law for the DFT cell and can differ from measured ones.

Lattice parameters (Å, degrees): 5.0504 5.0504 18.0232 90.00 90.00 120.00
Positions (direct):
Na 0.0000 0.0000 0.1518
Na 0.0000 0.0000 0.3482
Na 0.0000 0.0000 0.6518
Na 0.0000 0.0000 0.8482
Na 0.3333 0.6667 0.0505
Na 0.3333 0.6667 0.2500
Na 0.3333 0.6667 0.4495
Na 0.6667 0.3333 0.5505
Na 0.6667 0.3333 0.7500
Na 0.6667 0.3333 0.9495
As 0.3333 0.6667 0.6161
As 0.3333 0.6667 0.8839
As 0.6667 0.3333 0.1161
As 0.6667 0.3333 0.3839
Pd 0.3333 0.6667 0.7500
Pd 0.6667 0.3333 0.2500

Most intense lines, 15° ≤ 2θ ≤ 90°, low angle first:
| Position (°2θ) | d_spacing | I (rel.) |
| --- | --- | --- |
| 20.30 | 4.374 | 34.6 |
| 20.90 | 4.250 | 100.0 |
| 35.55 | 2.525 | 85.8 |
| 36.28 | 2.476 | 21.8 |
| 40.66 | 2.219 | 41.7 |
| 54.59 | 1.681 | 19.4 |

Diffraction record for ZnInRe. The PXRD pattern is theoretical, not measured: it uses a DFT-relaxed cell (GGA-PBE, Alexandria) and Cu Kα.
Peak positions follow from Bragg's law for the DFT cell and can differ from measured ones.

Lattice parameters (Å, degrees): 5.1853 5.1853 5.1853 149.03 133.41 57.00
Positions (direct):
Zn 0.0000 0.0000 0.0000
In 0.6949 0.6949 0.0000
Re 0.3777 0.3777 0.0000

Most intense lines, 15° ≤ 2θ ≤ 90°, low angle first:
| Position (°2θ) | d_spacing | I (rel.) |
| --- | --- | --- |
| 19.48 | 4.557 | 22.1 |
| 23.79 | 3.740 | 23.9 |
| 36.82 | 2.441 | 96.1 |
| 39.26 | 2.295 | 88.7 |
| 44.23 | 2.048 | 100.0 |
| 64.31 | 1.448 | 36.9 |

Diffraction record for TcNi3. The PXRD pattern is theoretical, not measured: it uses a DFT-relaxed cell (GGA-PBE, Alexandria) and Cu Kα.
Peak positions follow from Bragg's law for the DFT cell and can differ from measured ones.

Lattice parameters (Å, degrees): 2.5648 2.5648 7.1596 90.00 90.00 90.00
Positions (direct):
Tc 0.0000 0.0000 0.0000
Ni 0.0000 0.0000 0.5000
Ni 0.5000 0.5000 0.2590
Ni 0.5000 0.5000 0.7410

Most intense lines, 15° ≤ 2θ ≤ 90°, low angle first:
| Position (°2θ) | d_spacing | I (rel.) |
| --- | --- | --- |
| 43.40 | 2.085 | 100.0 |
| 50.31 | 1.814 | 32.0 |
| 51.02 | 1.790 | 14.9 |
| 73.91 | 1.282 | 9.4 |
| 74.48 | 1.274 | 18.0 |
| 89.78 | 1.092 | 22.7 |